Record 1
For Ac6Ir3Pd2, DFT lattice parameters and positions (GGA-PBE) gives the simulated powder XRD pattern in this record (λ = 1.5418 Å (Cu Kα)).
Peak positions follow from Bragg's law for the DFT cell and can differ from measured ones.

Cell and atoms:
```
data_Ac6Ir3Pd2
_space_group_name_H-M_alt 'C 1 2/m 1'
_space_group_IT_number 12
_space_group_name_Hall '-C 2y'
_cell_length_a 7.5705
_cell_length_b 13.1043
_cell_length_c 7.5865
_cell_angle_alpha 90.00
_cell_angle_beta 109.33
_cell_angle_gamma 90.00
loop_
_atom_site_label
_atom_site_fract_x
_atom_site_fract_y
_atom_site_fract_z
Ac1 0.2370 0.1721 0.2276
Ac2 0.2452 0.0000 0.7686
Ir1 0.0000 0.0000 0.0000
Ir2 0.0000 0.3374 0.0000
Pd1 0.0000 0.1674 0.5000
```

Top 10 peaks for 2θ = 10–90°, by angle:
Position (°2θ), I_rel, hkl
12.4, 15, 0 0 1
24.9, 9, 1 3 -1
28.9, 100, 2 0 -2
41.2, 37, 1 3 -3
41.3, 39, 3 3 -1
51.2, 21, 4 0 0
59.8, 12, 4 0 -4
67.6, 10, 0 6 4
67.8, 23, 5 3 -3
75.3, 15, 6 0 -2



Record 2
For Ac6Ir2PdRh, DFT lattice parameters and positions (GGA-PBE) gives the simulated powder XRD pattern in this record (λ = 1.5418 Å (Cu Kα)).
Peak positions follow from Bragg's law for the DFT cell and can differ from measured ones.

Cell and atoms:
```
data_Ac6Ir2PdRh
_space_group_name_H-M_alt 'R 3'
_space_group_IT_number 146
_space_group_name_Hall 'R 3'
_cell_length_a 7.5244
_cell_length_b 7.5244
_cell_length_c 20.9524
_cell_angle_alpha 90.00
_cell_angle_beta 90.00
_cell_angle_gamma 120.00
loop_
_atom_site_label
_atom_site_fract_x
_atom_site_fract_y
_atom_site_fract_z
Ac1 0.0070 0.3358 0.0000
Ac2 0.0212 0.6796 0.4975
Ir1 0.0000 0.0000 0.4169
Ir2 0.0000 0.0000 0.9193
Pd1 0.0000 0.0000 0.2433
Rh1 0.0000 0.0000 0.7435
```

Top 10 peaks for 2θ = 10–90°, by angle:
Position (°2θ), I_rel, hkl
16.0, 17, 0 1 2
26.9, 100, 2 -1 3
35.1, 61, 1 1 6
41.6, 44, 3 0 0
45.8, 24, 2 -1 9
50.2, 18, 2 2 3
55.5, 16, 4 -2 6
67.2, 15, 5 -1 3
69.0, 19, 3 0 12
71.7, 15, 4 1 6



Record 3
For Ac2Sb3IrPd4, DFT lattice parameters and positions (GGA-PBE) gives the simulated powder XRD pattern in this record (λ = 1.5418 Å (Cu Kα)).
Peak positions follow from Bragg's law for the DFT cell and can differ from measured ones.

Cell and atoms:
```
data_Ac2Sb3IrPd4
_space_group_name_H-M_alt 'P -4 m 2'
_space_group_IT_number 115
_space_group_name_Hall 'P -4 -2'
_cell_length_a 4.5195
_cell_length_b 4.5195
_cell_length_c 11.2205
_cell_angle_alpha 90.00
_cell_angle_beta 90.00
_cell_angle_gamma 90.00
loop_
_atom_site_label
_atom_site_fract_x
_atom_site_fract_y
_atom_site_fract_z
Ac1 0.0000 0.5000 0.2364
Sb1 0.0000 0.0000 0.0000
Sb2 0.0000 0.5000 0.6277
Ir1 0.5000 0.5000 0.0000
Pd1 0.0000 0.0000 0.5000
Pd2 0.0000 0.5000 0.8614
Pd3 0.5000 0.5000 0.5000
```

Top 10 peaks for 2θ = 10–90°, by angle:
Position (°2θ), I_rel, hkl
31.0, 54, 1 0 3
32.2, 100, 1 1 2
39.9, 56, 2 0 0
42.9, 14, 1 1 4
45.1, 25, 1 0 5
51.4, 26, 2 1 3
57.1, 12, 1 1 6
57.7, 19, 2 2 0
61.8, 19, 2 1 5
67.6, 24, 3 1 2